(1)
Starting from a cell relaxed with GGA-PBE, the powder X-ray diffraction pattern of Cs2PuAg2S4 was simulated for Cu Kα (λ = 1.5418 Å).

Cell and atoms:
```
data_Cs2PuAg2S4
_chemical_formula_sum 'Cs4 Pu2 Ag4 S8'
_space_group_name_H-M_alt 'C 2 2 2'
_space_group_IT_number 21
_space_group_name_Hall 'C 2 2'
_cell_length_a 6.3950
_cell_length_b 13.7196
_cell_length_c 6.3905
_cell_angle_alpha 90.00
_cell_angle_beta 90.00
_cell_angle_gamma 90.00
loop_
_atom_site_label
_atom_site_fract_x
_atom_site_fract_y
_atom_site_fract_z
Cs1 0.2500 0.2500 0.2321
Pu1 0.0000 0.0000 0.5000
Ag1 0.0000 0.0000 0.0000
Ag2 0.0000 0.5000 0.5000
S1 0.2383 0.0996 0.7379
```

Largest 8 diffraction maxima, sorted by position, 15 to 90 degrees two-theta:
hkl	d [Å]	Rel. int.
1 1 0	5.796	34
0 2 1	4.676	25
0 4 0	3.430	32
1 3 1	3.215	44
2 2 0	2.897	100
2 0 2	2.260	38
2 4 2	1.887	24
2 6 0	1.860	40

---

(2)
Starting from a cell relaxed with GGA-PBE, the powder X-ray diffraction pattern of Cs2PuAg2Te2Se2 was simulated for Cu Kα (λ = 1.5418 Å).

Cell and atoms:
```
data_Cs2PuAg2Te2Se2
_chemical_formula_sum 'Cs4 Pu2 Ag4 Te4 Se4'
_space_group_name_H-M_alt 'C 1 2 1'
_space_group_IT_number 5
_space_group_name_Hall 'C 2y'
_cell_length_a 14.6029
_cell_length_b 6.7510
_cell_length_c 6.7422
_cell_angle_alpha 90.00
_cell_angle_beta 91.70
_cell_angle_gamma 90.00
loop_
_atom_site_label
_atom_site_fract_x
_atom_site_fract_y
_atom_site_fract_z
Cs1 0.2497 0.0000 0.2339
Pu1 0.0000 0.2437 0.5000
Ag1 0.0000 0.2354 0.0000
Ag2 0.0000 0.7505 0.5000
Te1 0.1056 0.5049 0.2470
Se1 0.0987 0.0068 0.7443
```

Largest 8 diffraction maxima, sorted by position, 15 to 90 degrees two-theta:
hkl	d [Å]	Rel. int.
3 1 -1	3.442	88
3 1 1	3.371	95
2 0 -2	3.094	32
2 2 0	3.064	59
2 0 2	3.023	37
0 2 2	2.385	100
6 2 0	1.974	54
6 0 2	1.946	41

---

(3)
Starting from a cell relaxed with GGA-PBE, the powder X-ray diffraction pattern of Cs2PuAg2Te4 was simulated for Cu Kα (λ = 1.5418 Å).

Cell and atoms:
```
data_Cs2PuAg2Te4
_chemical_formula_sum 'Cs4 Pu2 Ag4 Te8'
_space_group_name_H-M_alt 'C 2 2 2'
_space_group_IT_number 21
_space_group_name_Hall 'C 2 2'
_cell_length_a 6.8621
_cell_length_b 15.1281
_cell_length_c 6.8575
_cell_angle_alpha 90.00
_cell_angle_beta 90.00
_cell_angle_gamma 90.00
loop_
_atom_site_label
_atom_site_fract_x
_atom_site_fract_y
_atom_site_fract_z
Cs1 0.2500 0.2500 0.2392
Pu1 0.0000 0.0000 0.5000
Ag1 0.0000 0.0000 0.0000
Ag2 0.0000 0.5000 0.5000
Te1 0.2464 0.3954 0.7528
```

Largest 8 diffraction maxima, sorted by position, 15 to 90 degrees two-theta:
hkl	d [Å]	Rel. int.
1 3 1	3.496	100
2 2 0	3.124	51
0 4 2	2.541	33
2 0 2	2.425	53
2 6 0	2.032	48
3 3 1	1.993	41
4 0 0	1.715	18
4 6 2	1.310	23